This entry pairs a crystal structure of AcErV2O8 with its theoretical powder diffraction line list. Radiation: λ = 1.5418 Å (Cu Kα). Structure: a crystal structure in Alexandria, relaxed with PBE+U.
Intensities are scaled so that the largest is 100.

Top 10 peaks for 2θ = 10–90°, sorted by position:
2θ = 17.95°, d 4.943, rel. 100.0, (1 0 0)
2θ = 21.79°, d 4.079, rel. 15.5, (1 0 1)
2θ = 30.66°, d 2.916, rel. 77.3, (1 0 2)
2θ = 31.35°, d 2.854, rel. 54.9, (1 1 0)
2θ = 40.28°, d 2.239, rel. 29.8, (1 1 2)
2θ = 44.42°, d 2.040, rel. 38.1, (0 2 2)
2θ = 48.74°, d 1.868, rel. 15.3, (2 1 0)
2θ = 55.37°, d 1.659, rel. 31.4, (2 1 2)
2θ = 60.69°, d 1.526, rel. 14.9, (1 1 4)
2θ = 73.96°, d 1.282, rel. 13.3, (1 3 2)

```
data_AcErV2O8
_chemical_formula_sum 'Ac1 Er1 V2 O8'
_symmetry_space_group_name_H-M 'P -3 m 1'
_symmetry_Int_Tables_number 164
_symmetry_space_group_name_Hall '-P 3 2"'
_cell_length_a 5.7073
_cell_length_b 5.7073
_cell_length_c 7.2233
_cell_angle_alpha 90.00
_cell_angle_beta 90.00
_cell_angle_gamma 120.00
loop_
_atom_site_label
_atom_site_fract_x
_atom_site_fract_y
_atom_site_fract_z
Ac1 0.0000 0.0000 0.0000
Er1 0.0000 0.0000 0.5000
V1 0.3333 0.6667 0.7837
O1 0.1632 0.3265 0.7132
O2 0.3333 0.6667 0.0169
```